# 1
Theoretical powder XRD pattern
Compound: Ac6PrPb6
Radiation: Cu Kα
Structure: the GGA-PBE geometry in Alexandria
Lines closer than 0.1° are merged.

Crystal structure
a = 8.134 Å, b = 8.134 Å, c = 9.641 Å
α = 90.00°, β = 90.00°, γ = 120.05°
Fractional coordinates of all 13 atoms:
Ac (0.000, 0.000, 0.246)
Ac (0.000, 0.000, 0.754)
Ac (0.000, 0.500, 0.246)
Ac (0.000, 0.500, 0.754)
Ac (0.500, 0.000, 0.246)
Ac (0.500, 0.000, 0.754)
Pr (0.500, 0.500, 0.500)
Pb (0.166, 0.834, 0.500)
Pb (0.167, 0.833, 0.000)
Pb (0.500, 0.500, 0.165)
Pb (0.500, 0.500, 0.835)
Pb (0.833, 0.167, 0.000)
Pb (0.834, 0.166, 0.500)

Top 10 peaks for 10° ≤ 2θ ≤ 80°, by angle:
Position (°2θ)	Rel. int.
21.86	33
25.29	58
28.72	58
31.46	100
42.85	20
44.57	45
55.57	21
59.48	22
62.12	15
73.87	18

# 2
Theoretical powder XRD pattern
Compound: Ca3Nd2Sb3O14
Radiation: Cu Kα
Structure: the GGA-PBE geometry in Alexandria
Lines closer than 0.1° are merged.

Crystal structure
a = 7.540 Å, b = 7.540 Å, c = 7.494 Å
α = 119.34°, β = 119.34°, γ = 60.51°
Fractional coordinates of all 22 atoms:
Ca (0.000, 0.000, 0.000)
Ca (0.000, 0.000, 0.500)
Ca (0.500, 0.500, 0.000)
Nd (0.000, 0.500, 0.500)
Nd (0.500, 0.000, 0.500)
Sb (0.000, 0.500, 0.000)
Sb (0.500, 0.000, 0.000)
Sb (0.500, 0.500, 0.500)
O (0.124, 0.124, 0.380)
O (0.128, 0.596, 0.904)
O (0.184, 0.587, 0.318)
O (0.187, 0.187, 0.908)
O (0.404, 0.404, 0.631)
O (0.404, 0.872, 0.096)
O (0.413, 0.816, 0.682)
O (0.587, 0.184, 0.318)
O (0.596, 0.128, 0.904)
O (0.596, 0.596, 0.369)
O (0.813, 0.813, 0.092)
O (0.816, 0.413, 0.682)
O (0.872, 0.404, 0.096)
O (0.876, 0.876, 0.620)

Top 10 peaks for 10° ≤ 2θ ≤ 80°, by angle:
Position (°2θ)	Rel. int.
16.54	32
28.80	100
28.93	49
29.21	52
33.41	20
33.59	38
47.91	54
48.28	30
56.90	37
57.32	21

# 3
Theoretical powder XRD pattern
Compound: Pu2BeZnO8
Radiation: Cu Kα
Structure: the GGA-PBE geometry in Alexandria
Lines closer than 0.1° are merged.

Crystal structure
a = 4.522 Å, b = 4.522 Å, c = 7.053 Å
α = 90.00°, β = 90.00°, γ = 94.17°
Fractional coordinates of all 12 atoms:
Pu (0.000, 0.000, 0.244)
Pu (0.000, 0.000, 0.756)
Be (0.500, 0.500, 0.000)
Zn (0.500, 0.500, 0.500)
O (0.199, 0.199, 0.500)
O (0.236, 0.236, 0.000)
O (0.285, 0.715, 0.241)
O (0.285, 0.715, 0.759)
O (0.715, 0.285, 0.241)
O (0.715, 0.285, 0.759)
O (0.764, 0.764, 0.000)
O (0.801, 0.801, 0.500)

Top 10 peaks for 10° ≤ 2θ ≤ 80°, by angle:
Position (°2θ)	Rel. int.
19.69	93
25.26	26
26.92	45
29.00	38
32.22	100
38.83	30
39.99	20
47.88	20
51.01	34
53.47	29

Number 1 is which compound? Ac6PrPb6